Tm2Ag5Cl12: calculated XRD peak list (a wavelength of 1.5418 Å), based on a GGA-PBE-relaxed structure.

Most intense lines, 10 to 90 degrees two-theta, sorted by position:
d [Å], Rel. int.
6.386, 100.0
4.961, 55.8
4.527, 70.6
3.876, 40.4
3.515, 95.5
3.387, 34.9
2.972, 31.9
2.565, 43.9
2.464, 54.4
2.330, 35.8
2.204, 34.0
2.166, 68.0

Cell and atoms:
a b c (Å): 7.9715 7.9715 9.9833
angles (deg): 103.38 103.38 56.56
Atoms (fractional coordinates):
Tm  0.2492  0.7508  0.0000
Tm  0.7508  0.2492  0.0000
Ag  0.0000  0.0000  0.5000
Ag  0.2793  0.2793  0.3107
Ag  0.2891  0.2891  0.6177
Ag  0.7109  0.7109  0.3823
Ag  0.7207  0.7207  0.6893
Cl  0.0512  0.0512  0.8519
Cl  0.0798  0.5645  0.8380
Cl  0.1128  0.6278  0.4745
Cl  0.3722  0.8872  0.5255
Cl  0.4355  0.9202  0.1620
Cl  0.4502  0.4502  0.1506
Cl  0.5498  0.5498  0.8494
Cl  0.5645  0.0798  0.8380
Cl  0.6278  0.1128  0.4745
Cl  0.8872  0.3722  0.5255
Cl  0.9202  0.4355  0.1620
Cl  0.9488  0.9488  0.1481

BaHf4N6: calculated XRD peak list (a wavelength of 1.5418 Å), based on a GGA-PBE-relaxed structure.

Most intense lines, 10 to 90 degrees two-theta, sorted by position:
d [Å], Rel. int.
8.610, 17.6
2.923, 33.9
2.904, 100.0
2.733, 42.9
2.701, 35.2
2.387, 18.0
2.321, 31.9
2.222, 28.4
1.769, 18.9
1.660, 20.1
1.452, 17.1
1.416, 23.4

Cell and atoms:
a b c (Å): 5.6399 5.6399 17.2191
angles (deg): 90.00 90.00 146.57
Atoms (fractional coordinates):
Ba  0.1505  0.8495  0.7500
Ba  0.8495  0.1505  0.2500
Hf  0.1020  0.8980  0.1359
Hf  0.1020  0.8980  0.3641
Hf  0.3690  0.6310  0.0449
Hf  0.3690  0.6310  0.4551
Hf  0.6310  0.3690  0.5449
Hf  0.6310  0.3690  0.9551
Hf  0.8980  0.1020  0.6359
Hf  0.8980  0.1020  0.8641
N  0.0000  0.0000  0.0000
N  0.0000  0.0000  0.5000
N  0.1533  0.8467  0.2500
N  0.2632  0.7368  0.5781
N  0.2632  0.7368  0.9219
N  0.4770  0.5230  0.1429
N  0.4770  0.5230  0.3571
N  0.5230  0.4770  0.6429
N  0.5230  0.4770  0.8571
N  0.7368  0.2632  0.0781
N  0.7368  0.2632  0.4219
N  0.8467  0.1533  0.7500